For V4P2O13, a crystal structure in Alexandria, relaxed with PBE+U gives the computed powder diffractogram in this record (Cu Kα (λ = 1.5418 Å)).
No peak broadening, texture or thermal motion is included.

Structural model:
Lattice parameters (Å, degrees): 4.958 5.020 8.777 88.73 79.85 80.38
Space group P1 (No. 1)
Asymmetric unit:
V (0.000, 0.000, 0.000)
V (0.153, 0.285, 0.356)
V (0.318, 0.489, 0.745)
V (0.490, 0.719, 0.417)
P (0.554, 0.550, 0.062)
P (0.820, 0.965, 0.646)
O (0.029, 0.977, 0.491)
O (0.099, 0.100, 0.160)
O (0.161, 0.255, 0.847)
O (0.281, 0.463, 0.528)
O (0.362, 0.683, 0.946)
O (0.370, 0.558, 0.230)
O (0.502, 0.035, 0.337)
O (0.587, 0.797, 0.623)
O (0.650, 0.253, 0.016)
O (0.687, 0.251, 0.699)
O (0.788, 0.707, 0.069)
O (0.833, 0.492, 0.371)
O (0.986, 0.817, 0.769)

The 10 most intense peaks (2θ = 15–90°), in order of rising 2θ:
d [Å]  intensity  hkl
3.778  18  1 1 0
3.537  31  1 0 2
3.305  100  1 1 -1
3.196  98  1 -1 0
3.049  71  1 1 2
2.881  64  0 0 3
2.036  27  2 -1 0
2.009  26  1 2 -2
1.991  34  1 1 4
1.960  15  2 -1 2